Computed X-ray diffraction stick pattern
Compound: Tl4In3Hg5
Radiation: Cu Kα (λ = 1.5418 Å)
Structure: a crystal structure in Alexandria, relaxed with PBE
Neutral-atom scattering factors, no anomalous dispersion.

Top 10 peaks for 10 to 80 degrees two-theta, in order of rising 2θ:
2θ (°)	I (rel.)	h k l
31.11	1000	1 2 0
32.12	746	2 0 2
32.25	849	0 0 3
33.25	798	-1 2 1
33.91	725	2 0 -1
37.40	491	1 2 3
40.47	398	1 -2 2
49.80	208	3 2 2
52.46	179	1 2 -3
56.28	255	0 4 1

Structural model:
```
Tl4In3Hg5
1.0
6.2623 0.0000 0.0000
0.6664 6.5392 0.0000
2.2719 1.8537 8.3267
Tl In Hg
4 3 5
Cartesian
2.2701 3.2660 2.9283 Tl
3.8658 6.7190 5.3398 Tl
5.3348 1.6739 2.9869 Tl
6.9305 5.1269 5.3985 Tl
0.0000 0.0000 0.0000 In
3.8557 3.4547 5.8993 In
5.3449 4.9382 2.4274 In
0.3332 3.2696 0.0000 Hg
2.5145 6.5242 2.4901 Hg
5.7418 6.6994 8.1441 Hg
3.4588 1.6935 0.1826 Hg
6.6861 1.8687 5.8367 Hg
```